# MnGaSe
Simulated powder X-ray diffraction pattern, Cu Ka. Input: the GGA-PBE geometry in Alexandria.
Neutral-atom scattering factors, no anomalous dispersion.

Peak list (10 most intense, 10 to 90 degrees two-theta, low angle first)
(hkl)  2θ/deg  I/Imax
0 0 3  15.66  11.6
1 0 1  30.74  33.6
0 0 6  31.63  13.6
0 1 2  32.10  100.0
0 1 5  40.49  64.7
1 0 7  48.58  59.5
1 1 0  53.77  45.0
2 0 2  64.02  12.5
2 0 5  69.42  12.2
0 2 7  75.38  15.3

Structure:
Cell lengths 3.4093, 3.4093, 16.9745 Å; angles 90.00, 90.00, 120.00 degrees
Space group R3m (No. 160, hexagonal axes)
Symmetry-distinct sites (fractional):
Mn 0.0000 0.0000 0.0000 [3 per cell]
Ga 0.0000 0.0000 0.5679 [3 per cell]
Se 0.0000 0.0000 0.4183 [3 per cell]